Diffraction record for MgMn6O7F5. The powder diffractogram is theoretical, not measured: it uses DFT lattice parameters and positions (GGA+U) and Cu Kα (weighted mean of Kα1 and Kα2).

Peak list (12 most intense, 2θ from 10° to 90°, in order of falling intensity)
3.238 Å, rel. 100.0, (1 -1 0); 3.547 Å, rel. 76.3, (1 1 2); 2.659 Å, rel. 74.4, (1 0 -2); 2.648 Å, rel. 48.1, (0 1 -2); 2.686 Å, rel. 42.7, (1 2 0); 1.602 Å, rel. 34.8, (2 2 -2); 4.839 Å, rel. 32.5, (0 1 1); 4.678 Å, rel. 32.1, (1 1 1); 2.633 Å, rel. 26.6, (2 0 1); 3.355 Å, rel. 23.4, (0 1 2); 1.774 Å, rel. 23.0, (2 2 4); 1.738 Å, rel. 22.0, (-2 1 2)

Structure:
Unit cell a=5.7442 b=5.8501 c=7.7542 alpha=69.99 beta=70.93 gamma=67.93
Fractional coordinates of all 19 atoms:
Mg  0.0000  0.0000  0.0000
Mn  0.1159  0.5891  0.7441
Mn  0.2057  0.7115  0.3541
Mn  0.4606  0.0396  0.0155
Mn  0.5372  0.0131  0.5143
Mn  0.7302  0.4196  0.6537
Mn  0.8214  0.3930  0.1844
O  0.1224  0.0844  0.1810
O  0.3568  0.7491  0.5392
O  0.4042  0.3731  0.8530
O  0.5163  0.6850  0.1649
O  0.7076  0.2714  0.4582
O  0.8760  0.7324  0.5497
O  0.8906  0.3987  0.9033
F  0.0399  0.6470  0.1698
F  0.2098  0.3044  0.5068
F  0.3404  0.9349  0.8232
F  0.6448  0.0901  0.1936
F  0.8278  0.9524  0.8446

=====

Diffraction record for Li2MoP8O24. The powder diffractogram is theoretical, not measured: it uses DFT lattice parameters and positions (GGA+U) and Cu Kα (weighted mean of Kα1 and Kα2).

Peak list (12 most intense, 2θ from 10° to 90°, in order of falling intensity)
3.051 Å, rel. 100.0, (1 1 1); 4.690 Å, rel. 93.8, (-1 1 1); 3.020 Å, rel. 82.2, (1 1 -3); 4.297 Å, rel. 57.9, (1 0 -2); 4.352 Å, rel. 53.0, (0 1 1); 5.240 Å, rel. 52.3, (1 -1 1); 3.270 Å, rel. 51.2, (0 2 -2); 3.252 Å, rel. 49.5, (2 0 0); 3.228 Å, rel. 45.6, (1 -2 2); 3.215 Å, rel. 44.6, (2 -1 1); 4.628 Å, rel. 35.9, (1 0 1); 3.461 Å, rel. 34.4, (1 -2 0)

Structure:
Unit cell a=7.2610 b=7.3441 c=9.8200 alpha=109.20 beta=98.35 gamma=110.41
Fractional coordinates of all 35 atoms:
Li  0.0000  0.0000  0.0000
Li  0.4057  0.1729  0.2246
Mo  0.8960  0.3921  0.5081
P  0.2113  0.4880  0.2811
P  0.2140  0.9318  0.7339
P  0.2431  0.6923  0.0665
P  0.2610  0.2004  0.5518
P  0.6341  0.1762  0.9437
P  0.6628  0.7127  0.4632
P  0.6754  0.4746  0.7802
P  0.7065  0.9003  0.2346
O  0.0363  0.4443  0.3575
O  0.0743  0.2533  0.5585
O  0.1022  0.6866  0.6568
O  0.1412  0.5011  0.9195
O  0.1432  0.0564  0.8461
O  0.1765  0.6413  0.2078
O  0.2138  0.8866  0.0762
O  0.2251  0.9979  0.5915
O  0.2299  0.3050  0.1741
O  0.3156  0.1619  0.4100
O  0.4148  0.6382  0.4229
O  0.4395  0.3997  0.6943
O  0.4493  0.9744  0.8028
O  0.4880  0.7528  0.1120
O  0.5836  0.2233  0.0899
O  0.6550  0.3752  0.9000
O  0.6916  0.0996  0.3477
O  0.6975  0.5086  0.4439
O  0.7189  0.7482  0.3188
O  0.7606  0.3514  0.6589
O  0.7640  0.9009  0.6060
O  0.7865  0.7058  0.8465
O  0.8271  0.1453  0.9483
O  0.8746  0.9451  0.1672

=====

Diffraction record for Li2TiFeO4. The powder diffractogram is theoretical, not measured: it uses DFT lattice parameters and positions (GGA+U) and Cu Kα (weighted mean of Kα1 and Kα2).

Peak list (12 most intense, 2θ from 10° to 90°, in order of falling intensity)
4.894 Å, rel. 100.0, (0 0 2); 2.559 Å, rel. 29.3, (1 2 -2); 2.149 Å, rel. 29.1, (2 0 2); 2.122 Å, rel. 28.7, (-1 2 2); 2.113 Å, rel. 28.3, (1 2 -4); 1.514 Å, rel. 15.0, (3 -2 0); 1.500 Å, rel. 14.8, (1 -2 6); 2.596 Å, rel. 13.5, (2 0 0); 1.953 Å, rel. 9.2, (2 0 -4); 1.495 Å, rel. 8.0, (0 4 -2); 2.455 Å, rel. 7.8, (1 2 0); 1.505 Å, rel. 7.7, (1 2 4)

Structure:
Unit cell a=5.2654 b=5.9815 c=10.3553 alpha=106.52 beta=99.22 gamma=90.07
Fractional coordinates of all 32 atoms:
Li  0.0000  0.0000  0.0000
Li  0.0000  0.0000  0.5000
Li  0.0000  0.5000  0.0000
Li  0.0000  0.5000  0.5000
Li  0.4990  0.2460  0.4932
Li  0.5000  0.2496  0.0000
Li  0.5000  0.7504  0.0000
Li  0.5010  0.7540  0.5068
Ti  0.2296  0.8785  0.7565
Ti  0.2706  0.3714  0.7429
Ti  0.7294  0.6286  0.2571
Ti  0.7704  0.1215  0.2435
Fe  0.2499  0.3752  0.2499
Fe  0.2498  0.8745  0.2499
Fe  0.7502  0.1255  0.7501
Fe  0.7501  0.6248  0.7501
O  0.0873  0.1839  0.3696
O  0.0990  0.6766  0.3553
O  0.1420  0.1773  0.8668
O  0.1422  0.6895  0.8674
O  0.3581  0.5621  0.6326
O  0.3585  0.0712  0.6330
O  0.4001  0.0727  0.1435
O  0.4127  0.5667  0.1317
O  0.5873  0.4333  0.8683
O  0.5999  0.9273  0.8565
O  0.6415  0.9288  0.3670
O  0.6419  0.4379  0.3674
O  0.8578  0.3105  0.1326
O  0.8580  0.8227  0.1332
O  0.9010  0.3234  0.6447
O  0.9127  0.8161  0.6304

=====

Diffraction record for CdFe2O4. The powder diffractogram is theoretical, not measured: it uses DFT lattice parameters and positions (GGA+U) and Cu Kα (weighted mean of Kα1 and Kα2).

Peak list (12 most intense, 2θ from 10° to 90°, in order of falling intensity)
2.587 Å, rel. 100.0, (1 2 -1); 3.144 Å, rel. 64.8, (1 1 -2); 2.762 Å, rel. 62.0, (0 1 1); 1.572 Å, rel. 42.1, (2 2 0); 1.644 Å, rel. 33.4, (3 2 -2); 3.010 Å, rel. 29.1, (2 0 -1); 1.782 Å, rel. 21.9, (1 0 2); 1.763 Å, rel. 20.9, (3 1 -3); 1.505 Å, rel. 17.7, (4 0 -2); 1.843 Å, rel. 12.0, (0 2 1); 1.322 Å, rel. 10.4, (4 1 -1); 1.686 Å, rel. 9.0, (3 0 -3)

Structure:
Unit cell a=6.0186 b=6.0227 c=6.3101 alpha=118.48 beta=118.39 gamma=90.05
Fractional coordinates of all 14 atoms:
Cd  0.1237  0.3745  0.2495
Cd  0.8763  0.6255  0.7505
Fe  0.0000  0.0000  0.5000
Fe  0.5000  0.0000  0.0000
Fe  0.5000  0.0000  0.5000
Fe  0.5000  0.5000  0.0000
O  0.2665  0.8044  0.5331
O  0.2666  0.2285  0.5333
O  0.2709  0.2326  0.9663
O  0.3051  0.7656  0.0332
O  0.6949  0.2344  0.9668
O  0.7291  0.7674  0.0337
O  0.7334  0.7715  0.4667
O  0.7335  0.1956  0.4669